Structure and theoretical XRD peak list of Li7Ni5O12 (the PBE+U geometry in Alexandria; Cu Kα (λ = 1.5418 Å)).
Peak positions follow from Bragg's law for the DFT cell and can differ from measured ones.

Structure:
Cell lengths 5.756, 6.428, 6.431 Å; angles 71.91, 64.11, 77.20 degrees
Positions (direct):
Li 0.000 0.000 0.000
Li 0.081 0.325 0.165
Li 0.254 0.005 0.496
Li 0.412 0.673 0.834
Li 0.588 0.327 0.166
Li 0.746 0.995 0.504
Li 0.919 0.675 0.835
Ni 0.169 0.667 0.330
Ni 0.331 0.330 0.669
Ni 0.500 0.000 0.000
Ni 0.669 0.670 0.331
Ni 0.831 0.333 0.670
O 0.020 0.660 0.118
O 0.154 0.980 0.239
O 0.213 0.352 0.421
O 0.314 0.659 0.557
O 0.381 0.009 0.765
O 0.450 0.310 0.919
O 0.550 0.690 0.081
O 0.619 0.991 0.235
O 0.686 0.341 0.443
O 0.787 0.648 0.579
O 0.846 0.020 0.761
O 0.980 0.340 0.882

Largest 10 diffraction maxima, sorted by position, 2θ = 10–90°:
2θ (°)	Rel. int.
18.7	100.0
36.5	13.9
36.9	25.9
38.4	8.2
44.1	27.0
44.7	51.6
59.0	9.7
64.3	7.3
64.7	14.0
65.0	7.1